Record 1
Structure and calculated powder X-ray diffraction pattern of ScCrReNi (a structure optimized by DFT (PBE); Cu Kα, 1.54184 Å).

Cell and atoms:
Cell lengths 3.1768, 4.1126, 4.4570 Å; angles 90.00, 90.00, 90.00 degrees
Space group Pmmm (No. 47)
Inequivalent atoms, fractional coordinates:
Sc  0.0000  0.0000  0.0000 x1
Cr  0.0000  0.5000  0.5000 x1
Re  0.5000  0.0000  0.5000 x1
Ni  0.5000  0.5000  0.0000 x1

Largest 10 diffraction maxima, by intensity, 2θ from 10° to 90°:
2θ 41.23, rel. 100, (1 1 1)
2θ 40.48, rel. 26, (0 0 2)
2θ 29.55, rel. 23, (0 1 1)
2θ 19.92, rel. 21, (0 0 1)
2θ 44.04, rel. 21, (0 2 0)
2θ 74.13, rel. 17, (1 1 3)
2θ 61.34, rel. 15, (0 2 2)
2θ 79.05, rel. 14, (1 3 1)
2θ 28.09, rel. 13, (1 0 0)
2θ 21.61, rel. 13, (0 1 0)

---

Record 2
Structure and calculated powder X-ray diffraction pattern of CePrPdRh (a structure optimized by DFT (PBE); Cu Kα, 1.54184 Å).

Cell and atoms:
Cell lengths 4.1649, 3.9060, 11.6376 Å; angles 90.00, 90.00, 90.00 degrees
Space group Amm2 (No. 38)
Inequivalent atoms, fractional coordinates:
Ce  0.0000  0.0000  0.0000 x2
Pr  0.5000  0.0000  0.7253 x2
Pd  0.0000  0.0000  0.2898 x2
Rh  0.5000  0.0000  0.4693 x2

Largest 10 diffraction maxima, by intensity, 2θ from 10° to 90°:
2θ 32.35, rel. 100, (1 1 1)
2θ 39.23, rel. 69, (1 1 3)
2θ 30.73, rel. 42, (0 0 4)
2θ 43.46, rel. 25, (2 0 0)
2θ 32.53, rel. 21, (0 1 3)
2θ 46.50, rel. 21, (0 2 0)
2θ 37.72, rel. 19, (1 0 4)
2θ 54.17, rel. 19, (2 0 4)
2θ 65.53, rel. 15, (2 2 0)
2θ 56.77, rel. 14, (0 2 4)